1.
# MoW3Se2S6
Simulated X-ray diffraction stick pattern, Cu Kα (λ = 1.5418 Å). Input: a GGA-PBE-relaxed structure.
Peak positions follow from Bragg's law for the DFT cell and can differ from measured ones.

Largest 10 diffraction maxima, by intensity, 2θ = 10–80°:
7.275 Å, intensity 100
2.379 Å, intensity 52
1.976 Å, intensity 30
6.063 Å, intensity 27
2.791 Å, intensity 18
1.611 Å, intensity 17
2.720 Å, intensity 15
2.606 Å, intensity 13
1.902 Å, intensity 12
1.573 Å, intensity 11

a = 3.222 Å, b = 3.222 Å, c = 36.377 Å
α = 90.00°, β = 90.00°, γ = 120.00°
Atoms (fractional coordinates):
Mo  0.000  0.000  0.000
W  0.000  0.000  0.376
W  0.333  0.667  0.188
W  0.333  0.667  0.564
Se  0.000  0.000  0.516
Se  0.000  0.000  0.611
S  0.000  0.000  0.145
S  0.000  0.000  0.231
S  0.333  0.667  0.043
S  0.333  0.667  0.333
S  0.333  0.667  0.419
S  0.333  0.667  0.957

2.
# NdAl10Fe2
Simulated X-ray diffraction stick pattern, Cu Kα (λ = 1.5418 Å). Input: a GGA-PBE-relaxed structure.
Peak positions follow from Bragg's law for the DFT cell and can differ from measured ones.

Largest 10 diffraction maxima, by intensity, 2θ = 10–80°:
2.262 Å, intensity 100
2.237 Å, intensity 89
3.206 Å, intensity 39
2.441 Å, intensity 36
3.181 Å, intensity 35
2.611 Å, intensity 31
5.441 Å, intensity 31
2.273 Å, intensity 30
6.792 Å, intensity 29
1.305 Å, intensity 25

a = 6.848 Å, b = 6.848 Å, c = 9.092 Å
α = 90.00°, β = 90.00°, γ = 97.34°
Atoms (fractional coordinates):
Nd  0.123  0.877  0.750
Nd  0.877  0.123  0.250
Al  0.135  0.414  0.750
Al  0.160  0.840  0.099
Al  0.160  0.840  0.401
Al  0.221  0.480  0.250
Al  0.229  0.229  0.000
Al  0.229  0.229  0.500
Al  0.375  0.625  0.548
Al  0.375  0.625  0.952
Al  0.414  0.135  0.250
Al  0.480  0.221  0.750
Al  0.520  0.779  0.250
Al  0.586  0.865  0.750
Al  0.625  0.375  0.048
Al  0.625  0.375  0.452
Al  0.771  0.771  0.000
Al  0.771  0.771  0.500
Al  0.779  0.520  0.750
Al  0.840  0.160  0.599
Al  0.840  0.160  0.901
Al  0.865  0.586  0.250
Fe  0.000  0.500  0.000
Fe  0.000  0.500  0.500
Fe  0.500  0.000  0.000
Fe  0.500  0.000  0.500

3.
# CaTlF3
Simulated X-ray diffraction stick pattern, Cu Kα (λ = 1.5418 Å). Input: a GGA-PBE-relaxed structure.
Peak positions follow from Bragg's law for the DFT cell and can differ from measured ones.

Largest 10 diffraction maxima, by intensity, 2θ = 10–80°:
3.191 Å, intensity 100
1.842 Å, intensity 43
4.513 Å, intensity 42
2.606 Å, intensity 37
2.256 Å, intensity 35
2.018 Å, intensity 23
1.596 Å, intensity 23
1.427 Å, intensity 19
1.361 Å, intensity 14
1.504 Å, intensity 12

a = 4.512 Å, b = 4.514 Å, c = 4.514 Å
α = 89.91°, β = 90.00°, γ = 90.00°
Atoms (fractional coordinates):
Ca  0.000  0.000  0.000
Tl  0.500  0.506  0.506
F  0.000  0.500  0.997
F  0.000  0.997  0.500
F  0.500  0.987  0.987

4.
# Rb3DyF6
Simulated X-ray diffraction stick pattern, Cu Kα (λ = 1.5418 Å). Input: a GGA-PBE-relaxed structure.
Peak positions follow from Bragg's law for the DFT cell and can differ from measured ones.

Largest 10 diffraction maxima, by intensity, 2θ = 10–80°:
3.497 Å, intensity 100
3.617 Å, intensity 96
2.064 Å, intensity 59
1.997 Å, intensity 35
5.774 Å, intensity 30
2.558 Å, intensity 27
2.396 Å, intensity 20
1.748 Å, intensity 17
1.341 Å, intensity 17
1.606 Å, intensity 16

a = 7.009 Å, b = 7.009 Å, c = 7.009 Å
α = 117.86°, β = 117.86°, γ = 93.75°
Atoms (fractional coordinates):
Rb  0.000  0.000  0.000
Rb  0.250  0.750  0.500
Rb  0.750  0.250  0.500
Dy  0.500  0.500  0.000
F  0.199  0.500  0.699
F  0.271  0.271  0.000
F  0.500  0.199  0.699
F  0.500  0.801  0.301
F  0.729  0.729  0.000
F  0.801  0.500  0.301

5.
# TlCdF3
Simulated X-ray diffraction stick pattern, Cu Kα (λ = 1.5418 Å). Input: a GGA-PBE-relaxed structure.
Peak positions follow from Bragg's law for the DFT cell and can differ from measured ones.

Largest 10 diffraction maxima, by intensity, 2θ = 10–80°:
3.155 Å, intensity 100
1.822 Å, intensity 26
2.243 Å, intensity 24
3.192 Å, intensity 19
1.836 Å, intensity 19
1.578 Å, intensity 18
2.219 Å, intensity 11
1.815 Å, intensity 9
1.417 Å, intensity 8
1.405 Å, intensity 7

a = 6.308 Å, b = 12.767 Å, c = 8.878 Å
α = 90.00°, β = 90.00°, γ = 90.00°
Atoms (fractional coordinates):
Tl  0.246  0.121  0.000
Tl  0.248  0.128  0.500
Tl  0.252  0.628  0.500
Tl  0.254  0.621  0.000
Tl  0.746  0.379  0.000
Tl  0.748  0.372  0.500
Tl  0.752  0.872  0.500
Tl  0.754  0.879  0.000
Cd  0.245  0.875  0.250
Cd  0.245  0.875  0.750
Cd  0.255  0.375  0.250
Cd  0.255  0.375  0.750
Cd  0.745  0.625  0.250
Cd  0.745  0.625  0.750
Cd  0.755  0.125  0.250
Cd  0.755  0.125  0.750
F  0.000  0.000  0.205
F  0.000  0.000  0.795
F  0.000  0.500  0.219
F  0.000  0.500  0.781
F  0.021  0.245  0.288
F  0.021  0.245  0.712
F  0.218  0.908  0.500
F  0.239  0.841  0.000
F  0.261  0.341  0.000
F  0.282  0.408  0.500
F  0.479  0.745  0.288
F  0.479  0.745  0.712
F  0.500  0.000  0.219
F  0.500  0.000  0.781
F  0.500  0.500  0.205
F  0.500  0.500  0.795
F  0.521  0.255  0.288
F  0.521  0.255  0.712
F  0.718  0.592  0.500
F  0.739  0.659  0.000
F  0.761  0.159  0.000
F  0.782  0.092  0.500
F  0.979  0.755  0.288
F  0.979  0.755  0.712

6.
# Hf2Al3C5
Simulated X-ray diffraction stick pattern, Cu Kα (λ = 1.5418 Å). Input: a GGA-PBE-relaxed structure.
Peak positions follow from Bragg's law for the DFT cell and can differ from measured ones.

Largest 10 diffraction maxima, by intensity, 2θ = 10–80°:
2.640 Å, intensity 100
2.422 Å, intensity 100
2.177 Å, intensity 45
1.612 Å, intensity 38
1.554 Å, intensity 35
2.300 Å, intensity 30
3.040 Å, intensity 27
2.432 Å, intensity 27
1.344 Å, intensity 26
2.722 Å, intensity 23

a = 3.225 Å, b = 3.225 Å, c = 24.321 Å
α = 90.00°, β = 90.00°, γ = 120.00°
Atoms (fractional coordinates):
Hf  0.333  0.667  0.056
Hf  0.333  0.667  0.444
Hf  0.667  0.333  0.556
Hf  0.667  0.333  0.944
Al  0.000  0.000  0.154
Al  0.000  0.000  0.346
Al  0.000  0.000  0.654
Al  0.000  0.000  0.846
Al  0.333  0.667  0.750
Al  0.667  0.333  0.250
C  0.000  0.000  0.000
C  0.000  0.000  0.500
C  0.333  0.667  0.216
C  0.333  0.667  0.284
C  0.333  0.667  0.613
C  0.333  0.667  0.887
C  0.667  0.333  0.113
C  0.667  0.333  0.387
C  0.667  0.333  0.716
C  0.667  0.333  0.784

7.
# Co3CuSn2S8
Simulated X-ray diffraction stick pattern, Cu Kα (λ = 1.5418 Å). Input: a GGA-PBE-relaxed structure.
Peak positions follow from Bragg's law for the DFT cell and can differ from measured ones.

Largest 10 diffraction maxima, by intensity, 2θ = 10–80°:
3.015 Å, intensity 100
3.041 Å, intensity 93
1.772 Å, intensity 87
2.512 Å, intensity 58
5.763 Å, intensity 37
1.927 Å, intensity 34
2.499 Å, intensity 28
1.922 Å, intensity 25
1.763 Å, intensity 23
1.790 Å, intensity 22

a = 7.088 Å, b = 7.088 Å, c = 7.088 Å
α = 120.33°, β = 119.31°, γ = 90.31°
Atoms (fractional coordinates):
Co  0.000  0.000  0.000
Co  0.621  0.373  0.752
Co  0.621  0.869  0.248
Cu  0.239  0.739  0.500
Sn  0.122  0.371  0.751
Sn  0.620  0.371  0.249
S  0.392  0.136  0.744
S  0.392  0.647  0.256
S  0.395  0.115  0.280
S  0.409  0.625  0.785
S  0.835  0.115  0.720
S  0.840  0.625  0.215
S  0.852  0.092  0.240
S  0.852  0.612  0.760

8.
# Tb12Mn5C15
Simulated X-ray diffraction stick pattern, Cu Kα (λ = 1.5418 Å). Input: a GGA-PBE-relaxed structure.
Peak positions follow from Bragg's law for the DFT cell and can differ from measured ones.

Largest 10 diffraction maxima, by intensity, 2θ = 10–80°:
2.848 Å, intensity 100
2.545 Å, intensity 32
2.521 Å, intensity 28
1.791 Å, intensity 19
1.521 Å, intensity 16
2.624 Å, intensity 15
3.390 Å, intensity 11
2.604 Å, intensity 10
1.555 Å, intensity 10
1.827 Å, intensity 10

a = 10.497 Å, b = 10.497 Å, c = 5.089 Å
α = 90.00°, β = 90.00°, γ = 120.00°
Atoms (fractional coordinates):
Tb  0.000  0.427  0.000
Tb  0.000  0.794  0.000
Tb  0.186  0.730  0.500
Tb  0.206  0.206  0.000
Tb  0.270  0.455  0.500
Tb  0.427  0.000  0.000
Tb  0.455  0.270  0.500
Tb  0.545  0.814  0.500
Tb  0.573  0.573  0.000
Tb  0.730  0.186  0.500
Tb  0.794  0.000  0.000
Tb  0.814  0.545  0.500
Mn  0.000  0.153  0.500
Mn  0.153  0.000  0.500
Mn  0.333  0.667  0.000
Mn  0.667  0.333  0.000
Mn  0.847  0.847  0.500
C  0.000  0.323  0.500
C  0.000  0.452  0.500
C  0.000  0.800  0.500
C  0.192  0.714  0.000
C  0.200  0.200  0.500
C  0.286  0.478  0.000
C  0.323  0.000  0.500
C  0.452  0.000  0.500
C  0.478  0.286  0.000
C  0.522  0.808  0.000
C  0.548  0.548  0.500
C  0.677  0.677  0.500
C  0.714  0.192  0.000
C  0.800  0.000  0.500
C  0.808  0.522  0.000